For TiMnO2, DFT lattice parameters and positions (GGA+U) gives the theoretical XRD peak list in this record (Cu Kα (λ = 1.5418 Å)).

Structure:
```
TiMnO2
1.0
1.436 -5.924 0.000
1.436 5.924 0.000
0.000 0.000 5.239
Ti Mn O
2 2 4
Direct
0.058 0.942 0.500
0.942 0.058 0.000
0.323 0.677 0.451
0.677 0.323 0.951
0.312 0.688 0.048
0.462 0.538 0.696
0.538 0.462 0.196
0.688 0.312 0.548
```

The 6 most intense peaks (5 to 70 degrees two-theta), sorted by position:
2.620 Å, intensity 64; 2.579 Å, intensity 100; 2.463 Å, intensity 69; 2.322 Å, intensity 63; 1.738 Å, intensity 64; 1.481 Å, intensity 31